# 1
Computed XRD peak list
Compound: K2InGaI6
Radiation: Cu Kα, 1.54184 Å
Structure: a GGA-PBE-relaxed structure
Kinematic intensities with the Lorentz-polarization factor, no thermal factor.

Cell and atoms:
```
K2InGaI6
1.0
0.000 6.050 6.050
6.050 0.000 6.050
6.050 6.050 0.000
K In Ga I
2 1 1 6
Cartesian
3.025 3.025 3.025 K
9.076 9.076 9.076 K
0.000 0.000 0.000 In
6.050 6.050 6.050 Ga
6.050 6.050 2.966 I
6.050 2.966 6.050 I
9.134 6.050 6.050 I
2.966 6.050 6.050 I
6.050 9.134 6.050 I
6.050 6.050 9.134 I
```

Peak list (10 most intense, 5 to 70 degrees two-theta, most intense first)
2θ 29.5, I 1000; 2θ 25.5, I 771; 2θ 42.2, I 735; 2θ 14.6, I 650; 2θ 33.1, I 361; 2θ 50.0, I 346; 2θ 69.5, I 322; 2θ 52.4, I 256; 2θ 44.9, I 194; 2θ 67.5, I 138


# 2
Computed XRD peak list
Compound: BaZr5Pb4O15
Radiation: Cu Kα, 1.54184 Å
Structure: a GGA-PBE-relaxed structure
Kinematic intensities with the Lorentz-polarization factor, no thermal factor.

Cell and atoms:
```
BaZr5Pb4O15
1.0
3.025 -2.986 0.000
3.025 2.986 0.000
-0.280 0.000 21.219
Ba Zr Pb O
1 5 4 15
Cartesian
0.000 0.000 0.000 Ba
2.807 0.000 14.706 Zr
2.926 0.000 6.245 Zr
2.868 0.000 10.474 Zr
2.772 0.000 18.965 Zr
3.022 0.000 2.034 Zr
5.444 0.000 17.011 Pb
5.519 0.000 12.797 Pb
5.579 0.000 8.568 Pb
5.654 0.000 4.340 Pb
1.590 1.510 1.848 O
1.421 1.565 18.827 O
1.616 1.571 6.098 O
1.561 1.572 10.332 O
1.505 1.577 14.568 O
2.827 0.000 21.000 O
1.590 -1.510 1.848 O
1.421 -1.565 18.827 O
3.226 0.000 4.089 O
1.616 -1.571 6.098 O
3.061 0.000 16.763 O
1.561 -1.572 10.332 O
3.179 0.000 8.311 O
3.123 0.000 12.539 O
1.505 -1.577 14.568 O
```

Peak list (10 most intense, 5 to 70 degrees two-theta, most intense first)
2θ 29.9, I 1000; 2θ 29.6, I 630; 2θ 42.5, I 324; 2θ 29.5, I 307; 2θ 20.9, I 278; 2θ 52.9, I 270; 2θ 53.1, I 203; 2θ 62.1, I 183; 2θ 42.6, I 172; 2θ 36.8, I 167


# 3
Computed XRD peak list
Compound: YC3O6
Radiation: Cu Kα, 1.54184 Å
Structure: a GGA-PBE-relaxed structure
Kinematic intensities with the Lorentz-polarization factor, no thermal factor.

Cell and atoms:
```
YC3O6
1.0
5.258 3.036 1.332
-5.258 3.036 1.332
0.000 -6.071 1.332
Y C O
1 3 6
Cartesian
0.000 0.000 0.000 Y
-2.406 -1.389 1.860 C
2.406 -1.389 1.860 C
0.000 2.778 1.860 C
-3.198 -1.847 2.694 O
-1.320 -0.762 1.997 O
1.320 -0.762 1.997 O
0.000 1.524 1.997 O
3.198 -1.847 2.694 O
0.000 3.693 2.694 O
```

Peak list (10 most intense, 5 to 70 degrees two-theta, most intense first)
2θ 16.9, I 1000; 2θ 34.4, I 427; 2θ 29.7, I 412; 2θ 34.1, I 362; 2θ 42.3, I 306; 2θ 24.3, I 232; 2θ 49.2, I 222; 2θ 46.5, I 200; 2θ 45.9, I 127; 2θ 45.7, I 117


# 4
Computed XRD peak list
Compound: LaMg14Sb
Radiation: Cu Kα, 1.54184 Å
Structure: a GGA-PBE-relaxed structure
Kinematic intensities with the Lorentz-polarization factor, no thermal factor.

Cell and atoms:
```
LaMg14Sb
1.0
10.489 0.000 0.000
0.000 3.235 5.722
0.000 -3.235 5.722
La Mg Sb
1 14 1
Cartesian
0.000 0.000 0.000 La
0.000 -1.591 2.865 Mg
0.000 1.591 2.865 Mg
2.610 0.000 7.640 Mg
2.699 0.000 1.937 Mg
2.718 -1.602 4.742 Mg
2.718 1.602 4.742 Mg
5.244 0.000 0.002 Mg
5.244 0.000 5.731 Mg
5.244 -1.611 8.581 Mg
5.244 1.611 8.581 Mg
7.771 -1.602 4.742 Mg
7.771 1.602 4.742 Mg
7.789 0.000 1.937 Mg
7.878 0.000 7.640 Mg
0.000 0.000 5.690 Sb
```

Peak list (10 most intense, 5 to 70 degrees two-theta, most intense first)
2θ 36.2, I 1000; 2θ 8.4, I 946; 2θ 35.7, I 513; 2θ 17.7, I 416; 2θ 34.2, I 372; 2θ 31.8, I 304; 2θ 15.5, I 271; 2θ 23.0, I 239; 2θ 16.9, I 236; 2θ 62.5, I 226